For Pm3Nd4Rh4, DFT lattice parameters and positions (GGA-PBE) gives the computed powder diffractogram in this record (Cu Kα, 1.54184 Å).
No peak broadening, texture or thermal motion is included.

The 10 most intense peaks (10° ≤ 2θ ≤ 90°), by angle:
| hkl | d [Å] | I/Imax |
| --- | --- | --- |
| 0 1 5 | 3.084 | 21 |
| 1 2 1 | 2.890 | 100 |
| 1 1 4 | 2.684 | 76 |
| 0 3 3 | 2.640 | 52 |
| 1 0 5 | 2.500 | 23 |
| 0 2 6 | 2.340 | 37 |
| 1 3 2 | 2.282 | 24 |
| 2 0 0 | 1.930 | 26 |
| 2 3 3 | 1.558 | 24 |
| 1 5 4 | 1.521 | 30 |

Structural model:
Cell lengths 3.8597, 9.0427, 16.4045 Å; angles 90.00, 90.00, 90.00 degrees
Space group Immm (No. 71)
Inequivalent atoms, fractional coordinates:
Pm (0.0000, 0.0000, 0.0000) (multiplicity 2)
Pm (0.0000, 0.5000, 0.0994) (multiplicity 4)
Nd (0.0000, 0.3127, 0.3352) (multiplicity 8)
Rh (0.0000, 0.0000, 0.2547) (multiplicity 4)
Rh (0.0000, 0.2187, 0.5000) (multiplicity 4)